# KSr2Nb4FeO15
Computed PXRD pattern, Cu Kα X-rays. Input: a crystal structure in the Materials Project, relaxed with GGA+U.
Kinematic intensities with the Lorentz-polarization factor, no thermal factor.

Crystal structure
```
data_KSr2Nb4FeO15
_symmetry_space_group_name_H-M 'P 1'
_symmetry_Int_Tables_number 1
_cell_length_a 12.496
_cell_length_b 12.496
_cell_length_c 4.040
_cell_angle_alpha 90.00
_cell_angle_beta 90.00
_cell_angle_gamma 90.00
loop_
_symmetry_equiv_pos_as_xyz
'x,y,z'
loop_
_atom_site_label
_atom_site_fract_x
_atom_site_fract_y
_atom_site_fract_z
_atom_site_occupancy
K1 0.000 0.000 0.000 1
K2 0.500 0.500 0.000 1
Sr1 0.149 0.351 0.995 1
Sr2 0.351 0.851 0.995 1
Sr3 0.649 0.149 0.995 1
Sr4 0.851 0.649 0.995 1
Nb1 0.080 0.789 0.519 1
Nb2 0.211 0.080 0.519 1
Nb3 0.289 0.580 0.519 1
Nb4 0.420 0.289 0.519 1
Nb5 0.580 0.711 0.519 1
Nb6 0.711 0.420 0.519 1
Nb7 0.789 0.920 0.519 1
Nb8 0.920 0.211 0.519 1
Fe1 0.000 0.500 0.483 1
Fe2 0.500 0.000 0.483 1
O1 0.000 0.500 0.979 1
O2 0.009 0.348 0.478 1
O3 0.067 0.143 0.476 1
O4 0.076 0.787 0.980 1
O5 0.143 0.933 0.476 1
O6 0.152 0.491 0.478 1
O7 0.213 0.076 0.980 1
O8 0.228 0.728 0.473 1
O9 0.272 0.228 0.473 1
O10 0.287 0.576 0.980 1
O11 0.348 0.991 0.478 1
O12 0.357 0.433 0.476 1
O13 0.424 0.287 0.980 1
O14 0.433 0.643 0.476 1
O15 0.491 0.848 0.478 1
O16 0.500 0.000 0.979 1
O17 0.509 0.152 0.478 1
O18 0.567 0.357 0.476 1
O19 0.576 0.713 0.980 1
O20 0.643 0.567 0.476 1
O21 0.652 0.009 0.478 1
O22 0.713 0.424 0.980 1
O23 0.728 0.772 0.473 1
O24 0.772 0.272 0.473 1
O25 0.787 0.924 0.980 1
O26 0.848 0.509 0.478 1
O27 0.857 0.067 0.476 1
O28 0.924 0.213 0.980 1
O29 0.933 0.857 0.476 1
O30 0.991 0.652 0.478 1
```

Most intense lines, 10° ≤ 2θ ≤ 80°, in order of rising 2θ:
| 2theta | I (rel.) |
| --- | --- |
| 22.00 | 40 |
| 25.70 | 97 |
| 27.24 | 98 |
| 29.47 | 78 |
| 31.68 | 100 |
| 32.03 | 32 |
| 44.88 | 45 |
| 51.73 | 37 |
| 54.60 | 27 |
| 70.85 | 25 |

# KNdFe4O12
Computed PXRD pattern, Cu Kα X-rays. Input: a crystal structure in the Materials Project, relaxed with GGA+U.
Kinematic intensities with the Lorentz-polarization factor, no thermal factor.

Crystal structure
```
data_KNdFe4O12
_symmetry_space_group_name_H-M 'P 1'
_symmetry_Int_Tables_number 1
_cell_length_a 7.666
_cell_length_b 5.418
_cell_length_c 5.418
_cell_angle_alpha 89.55
_cell_angle_beta 90.00
_cell_angle_gamma 90.00
loop_
_symmetry_equiv_pos_as_xyz
'x,y,z'
loop_
_atom_site_label
_atom_site_fract_x
_atom_site_fract_y
_atom_site_fract_z
_atom_site_occupancy
K1 0.000 0.000 0.000 1
Nd1 0.500 0.487 0.487 1
Fe1 0.246 0.496 0.993 1
Fe2 0.246 0.993 0.496 1
Fe3 0.754 0.496 0.993 1
Fe4 0.754 0.993 0.496 1
O1 0.000 0.505 0.980 1
O2 0.000 0.980 0.505 1
O3 0.248 0.266 0.266 1
O4 0.266 0.247 0.744 1
O5 0.266 0.744 0.247 1
O6 0.277 0.727 0.727 1
O7 0.500 0.018 0.481 1
O8 0.500 0.481 0.018 1
O9 0.723 0.727 0.727 1
O10 0.734 0.247 0.744 1
O11 0.734 0.744 0.247 1
O12 0.752 0.266 0.266 1
```

Most intense lines, 10° ≤ 2θ ≤ 80°, in order of rising 2θ:
| 2theta | I (rel.) |
| --- | --- |
| 11.54 | 28 |
| 16.36 | 28 |
| 20.07 | 98 |
| 33.03 | 100 |
| 33.12 | 51 |
| 38.92 | 34 |
| 47.26 | 25 |
| 47.44 | 24 |
| 47.66 | 25 |
| 59.04 | 20 |

# KSrNdFeO6
Computed PXRD pattern, Cu Kα X-rays. Input: a crystal structure in the Materials Project, relaxed with GGA+U.
Kinematic intensities with the Lorentz-polarization factor, no thermal factor.

Crystal structure
```
data_KSrNdFeO6
_symmetry_space_group_name_H-M 'P 1'
_symmetry_Int_Tables_number 1
_cell_length_a 5.901
_cell_length_b 5.901
_cell_length_c 5.901
_cell_angle_alpha 60.00
_cell_angle_beta 60.00
_cell_angle_gamma 60.00
loop_
_symmetry_equiv_pos_as_xyz
'x,y,z'
loop_
_atom_site_label
_atom_site_fract_x
_atom_site_fract_y
_atom_site_fract_z
_atom_site_occupancy
K1 0.000 0.000 0.000 1
Sr1 0.500 0.500 0.500 1
Nd1 0.250 0.250 0.250 1
Fe1 0.750 0.750 0.750 1
O1 0.525 0.525 0.975 1
O2 0.525 0.975 0.525 1
O3 0.525 0.975 0.975 1
O4 0.975 0.525 0.525 1
O5 0.975 0.525 0.975 1
O6 0.975 0.975 0.525 1
```

Most intense lines, 10° ≤ 2θ ≤ 80°, in order of rising 2θ:
| 2theta | I (rel.) |
| --- | --- |
| 18.41 | 16 |
| 21.29 | 17 |
| 30.29 | 100 |
| 35.68 | 15 |
| 43.37 | 35 |
| 47.49 | 9 |
| 53.81 | 38 |
| 63.00 | 21 |
| 71.49 | 18 |
| 79.58 | 7 |

# KNdZrFeO6
Computed PXRD pattern, Cu Kα X-rays. Input: a crystal structure in the Materials Project, relaxed with GGA+U.
Kinematic intensities with the Lorentz-polarization factor, no thermal factor.

Crystal structure
```
data_KNdZrFeO6
_symmetry_space_group_name_H-M 'P 1'
_symmetry_Int_Tables_number 1
_cell_length_a 5.689
_cell_length_b 5.689
_cell_length_c 5.689
_cell_angle_alpha 60.00
_cell_angle_beta 60.00
_cell_angle_gamma 60.00
loop_
_symmetry_equiv_pos_as_xyz
'x,y,z'
loop_
_atom_site_label
_atom_site_fract_x
_atom_site_fract_y
_atom_site_fract_z
_atom_site_occupancy
K1 0.000 0.000 0.000 1
Nd1 0.500 0.500 0.500 1
Zr1 0.750 0.750 0.750 1
Fe1 0.250 0.250 0.250 1
O1 0.008 0.008 0.492 1
O2 0.008 0.492 0.008 1
O3 0.008 0.492 0.492 1
O4 0.492 0.008 0.008 1
O5 0.492 0.008 0.492 1
O6 0.492 0.492 0.008 1
```

Most intense lines, 10° ≤ 2θ ≤ 80°, in order of rising 2θ:
| 2theta | I (rel.) |
| --- | --- |
| 19.11 | 27 |
| 31.45 | 100 |
| 37.06 | 17 |
| 38.77 | 7 |
| 45.08 | 36 |
| 49.38 | 8 |
| 56.00 | 38 |
| 59.73 | 6 |
| 65.65 | 21 |
| 74.61 | 16 |